No. 1
Starting from the PBE geometry in OQMD, the X-ray diffraction stick pattern of LuTlAuSe3 was computed for Cu Kα.
Neutral-atom scattering factors, no anomalous dispersion.

Cell and atoms:
a = 3.955 Å, b = 14.646 Å, c = 10.564 Å
α = 90.00°, β = 90.00°, γ = 90.00°
Space group Cmcm (No. 63)
Unique sites:
Lu: 0.000 0.000 0.000 (multiplicity 4)
Tl: 0.000 0.241 0.250 (multiplicity 4)
Au: 0.000 0.463 0.750 (multiplicity 4)
Se: 0.000 0.079 0.750 (multiplicity 4)
Se: 0.000 0.366 0.544 (multiplicity 8)

Principal peaks in the range 10 to 80 degrees two-theta, by angle:
7.323 Å, I 35; 2.951 Å, I 100; 2.656 Å, I 87; 2.641 Å, I 52; 2.315 Å, I 32; 1.741 Å, I 34

No. 2
Starting from the PBE geometry in OQMD, the X-ray diffraction stick pattern of Nd2Sm2B2ICl4 was computed for Cu Kα.
Neutral-atom scattering factors, no anomalous dispersion.

Cell and atoms:
a = 19.916 Å, b = 3.986 Å, c = 8.718 Å
α = 90.00°, β = 104.13°, γ = 90.00°
Space group C2/m (No. 12)
Unique sites:
Nd: 0.004 0.000 0.197 (multiplicity 4)
Sm: 0.164 0.500 0.100 (multiplicity 4)
B: 0.041 0.500 0.021 (multiplicity 4)
I: 0.000 0.500 0.500 (multiplicity 2)
Cl: 0.166 0.000 0.320 (multiplicity 4)
Cl: 0.176 0.000 0.877 (multiplicity 4)

Principal peaks in the range 10 to 80 degrees two-theta, by angle:
8.454 Å, I 62; 5.708 Å, I 44; 3.294 Å, I 49; 3.219 Å, I 74; 2.941 Å, I 100; 2.152 Å, I 40

No. 3
Starting from the PBE geometry in OQMD, the X-ray diffraction stick pattern of YCo4B was computed for Cu Kα.
Neutral-atom scattering factors, no anomalous dispersion.

Cell and atoms:
a = 5.0130 Å, b = 5.0130 Å, c = 6.8182 Å
α = 90.00°, β = 90.00°, γ = 120.00°
Space group P6/mmm (No. 191)
Unique sites:
Y: 0.0000 0.0000 0.0000 (multiplicity 1)
Y: 0.0000 0.0000 0.5000 (multiplicity 1)
Co: 0.0000 0.5000 0.2115 (multiplicity 6)
Co: 0.3333 0.6667 0.5000 (multiplicity 2)
B: 0.3333 0.6667 0.0000 (multiplicity 2)

Principal peaks in the range 10 to 80 degrees two-theta, by angle:
2.681 Å, I 62; 2.506 Å, I 20; 2.171 Å, I 80; 2.019 Å, I 100; 1.332 Å, I 24; 1.253 Å, I 24

No. 4
Starting from the PBE geometry in OQMD, the X-ray diffraction stick pattern of NdRe3 was computed for Cu Kα.
Neutral-atom scattering factors, no anomalous dispersion.

Cell and atoms:
a = 4.8299 Å, b = 4.8299 Å, c = 7.9702 Å
α = 90.00°, β = 90.00°, γ = 120.00°
Space group P6_3/mmc (No. 194)
Unique sites:
Nd: 0.3333 0.6667 0.2500 (multiplicity 2)
Re: 0.0000 0.0000 0.2500 (multiplicity 2)
Re: 0.3333 0.6667 0.6070 (multiplicity 4)

Principal peaks in the range 10 to 80 degrees two-theta, by angle:
2.415 Å, I 100; 2.243 Å, I 57; 2.065 Å, I 16; 1.643 Å, I 22; 1.394 Å, I 18; 1.359 Å, I 23

No. 5
Starting from the PBE geometry in OQMD, the X-ray diffraction stick pattern of Li4Mg2SnPt was computed for Cu Kα.
Neutral-atom scattering factors, no anomalous dispersion.

Cell and atoms:
a = 4.568 Å, b = 4.568 Å, c = 6.534 Å
α = 90.00°, β = 90.00°, γ = 90.00°
Space group P-4m2 (No. 115)
Unique sites:
Li: 0.000 0.000 0.000 (multiplicity 1)
Li: 0.000 0.500 0.238 (multiplicity 2)
Li: 0.500 0.500 0.500 (multiplicity 1)
Mg: 0.000 0.500 0.779 (multiplicity 2)
Sn: 0.000 0.000 0.500 (multiplicity 1)
Pt: 0.500 0.500 0.000 (multiplicity 1)

Principal peaks in the range 10 to 80 degrees two-theta, by angle:
3.744 Å, I 100; 3.230 Å, I 25; 2.297 Å, I 43; 2.284 Å, I 22; 1.966 Å, I 17; 1.950 Å, I 34

No. 6
Starting from the PBE geometry in OQMD, the X-ray diffraction stick pattern of SbAu15 was computed for Cu Kα.
Neutral-atom scattering factors, no anomalous dispersion.

Cell and atoms:
a = 4.078 Å, b = 4.093 Å, c = 42.328 Å
α = 90.00°, β = 90.00°, γ = 90.00°
Space group Pmma (No. 51)
Unique sites:
Sb: 0.250 0.000 0.116 (multiplicity 2)
Au: 0.250 0.000 0.223 (multiplicity 2)
Au: 0.250 0.000 0.324 (multiplicity 2)
Au: 0.250 0.000 0.425 (multiplicity 2)
Au: 0.250 0.000 0.525 (multiplicity 2)
Au: 0.250 0.000 0.626 (multiplicity 2)
Au: 0.250 0.000 0.726 (multiplicity 2)
Au: 0.250 0.000 0.828 (multiplicity 2)
Au: 0.250 0.500 0.172 (multiplicity 2)
Au: 0.250 0.500 0.274 (multiplicity 2)
Au: 0.250 0.500 0.375 (multiplicity 2)
Au: 0.250 0.500 0.475 (multiplicity 2)
Au: 0.250 0.500 0.576 (multiplicity 2)
Au: 0.250 0.500 0.676 (multiplicity 2)
Au: 0.250 0.500 0.776 (multiplicity 2)
Au: 0.250 0.500 0.880 (multiplicity 2)

Principal peaks in the range 10 to 80 degrees two-theta, by angle:
2.386 Å, I 100; 2.116 Å, I 17; 2.046 Å, I 18; 2.039 Å, I 19; 1.237 Å, I 13; 1.234 Å, I 13

No. 7
Starting from the PBE geometry in OQMD, the X-ray diffraction stick pattern of Tb4ZrAl15 was computed for Cu Kα.
Neutral-atom scattering factors, no anomalous dispersion.

Cell and atoms:
a = 6.0459 Å, b = 6.0459 Å, c = 36.0449 Å
α = 90.00°, β = 90.00°, γ = 120.00°
Space group R-3m (No. 166, hexagonal axes)
Unique sites:
Tb: 0.0000 0.0000 0.1003 (multiplicity 6)
Tb: 0.0000 0.0000 0.3688 (multiplicity 6)
Zr: 0.0000 0.0000 0.5000 (multiplicity 3)
Al: 0.0000 0.5000 0.5000 (multiplicity 9)
Al: 0.0038 0.5019 0.3665 (multiplicity 18)
Al: 0.0280 0.5140 0.8980 (multiplicity 18)

Principal peaks in the range 10 to 80 degrees two-theta, by angle:
4.527 Å, I 100; 3.671 Å, I 61; 3.023 Å, I 86; 2.514 Å, I 70; 2.334 Å, I 63; 2.264 Å, I 68

No. 8
Starting from the PBE geometry in OQMD, the X-ray diffraction stick pattern of Cs2SrCdP2 was computed for Cu Kα.
Neutral-atom scattering factors, no anomalous dispersion.

Cell and atoms:
a = 4.622 Å, b = 4.622 Å, c = 9.118 Å
α = 90.00°, β = 90.00°, γ = 90.00°
Space group P-4m2 (No. 115)
Unique sites:
Cs: 0.000 0.500 0.143 (multiplicity 2)
Sr: 0.500 0.500 0.500 (multiplicity 1)
Cd: 0.000 0.000 0.500 (multiplicity 1)
P: 0.000 0.500 0.688 (multiplicity 2)

Principal peaks in the range 10 to 80 degrees two-theta, by angle:
4.123 Å, I 38; 3.246 Å, I 88; 3.077 Å, I 100; 2.656 Å, I 54; 2.311 Å, I 53; 1.870 Å, I 38

No. 9
Starting from the PBE geometry in OQMD, the X-ray diffraction stick pattern of KCdClO was computed for Cu Kα.
Neutral-atom scattering factors, no anomalous dispersion.

Cell and atoms:
a = 3.7331 Å, b = 3.7331 Å, c = 14.4005 Å
α = 90.00°, β = 90.00°, γ = 120.00°
Space group P6_3mc (No. 186)
Unique sites:
K: 0.0000 0.0000 0.0000 (multiplicity 2)
Cd: 0.3333 0.6667 0.2808 (multiplicity 2)
Cl: 0.3333 0.6667 0.6376 (multiplicity 2)
O: 0.0000 0.0000 0.3269 (multiplicity 2)

Principal peaks in the range 10 to 80 degrees two-theta, by angle:
7.200 Å, I 74; 3.154 Å, I 66; 2.949 Å, I 61; 2.681 Å, I 100; 2.151 Å, I 38; 1.867 Å, I 41

No. 10
Starting from the PBE geometry in OQMD, the X-ray diffraction stick pattern of Mg2Re was computed for Cu Kα.
Neutral-atom scattering factors, no anomalous dispersion.

Cell and atoms:
a = 4.752 Å, b = 8.279 Å, c = 5.282 Å
α = 90.00°, β = 90.00°, γ = 90.00°
Space group Pmmn (No. 59, origin choice 2)
Unique sites:
Mg: 0.250 0.075 0.119 (multiplicity 4)
Mg: 0.250 0.250 0.596 (multiplicity 2)
Mg: 0.250 0.750 0.077 (multiplicity 2)
Re: 0.250 0.600 0.581 (multiplicity 4)

Principal peaks in the range 10 to 80 degrees two-theta, by angle:
5.282 Å, I 100; 4.123 Å, I 59; 3.250 Å, I 47; 2.376 Å, I 38; 2.309 Å, I 53; 2.175 Å, I 80

No. 11
Starting from the PBE geometry in OQMD, the X-ray diffraction stick pattern of ErFe6Sn6 was computed for Cu Kα.
Neutral-atom scattering factors, no anomalous dispersion.

Cell and atoms:
a = 8.920 Å, b = 37.324 Å, c = 5.398 Å
α = 90.00°, β = 90.00°, γ = 90.00°
Space group Cmcm (No. 63)
Unique sites:
Er: 0.000 0.063 0.250 (multiplicity 4)
Er: 0.000 0.189 0.750 (multiplicity 4)
Fe: 0.246 0.000 0.000 (multiplicity 8)
Fe: 0.246 0.063 0.750 (multiplicity 8)
Fe: 0.246 0.125 0.000 (multiplicity 16)
Fe: 0.247 0.188 0.250 (multiplicity 8)
Fe: 0.250 0.250 0.000 (multiplicity 8)
Sn: 0.000 0.021 0.750 (multiplicity 4)
Sn: 0.000 0.104 0.750 (multiplicity 4)
Sn: 0.000 0.146 0.250 (multiplicity 4)
Sn: 0.000 0.230 0.250 (multiplicity 4)
Sn: 0.000 0.272 0.750 (multiplicity 4)
Sn: 0.000 0.355 0.750 (multiplicity 4)
Sn: 0.000 0.396 0.250 (multiplicity 4)
Sn: 0.000 0.479 0.250 (multiplicity 4)
Sn: 0.164 0.313 0.250 (multiplicity 8)
Sn: 0.164 0.438 0.750 (multiplicity 8)

Principal peaks in the range 10 to 80 degrees two-theta, by angle:
2.696 Å, I 100; 2.307 Å, I 93; 2.230 Å, I 24; 2.068 Å, I 55; 1.470 Å, I 22; 1.302 Å, I 37

No. 12
Starting from the PBE geometry in OQMD, the X-ray diffraction stick pattern of GdTm2Sn3Ir2Pd was computed for Cu Kα.
Neutral-atom scattering factors, no anomalous dispersion.

Cell and atoms:
a = 3.815 Å, b = 13.210 Å, c = 7.593 Å
α = 90.00°, β = 90.00°, γ = 90.00°
Space group Amm2 (No. 38)
Unique sites:
Gd: 0.000 0.000 0.000 (multiplicity 2)
Tm: 0.000 0.203 0.609 (multiplicity 4)
Sn: 0.500 0.000 0.673 (multiplicity 2)
Sn: 0.500 0.134 0.273 (multiplicity 4)
Ir: 0.500 0.169 0.905 (multiplicity 4)
Pd: 0.000 0.000 0.409 (multiplicity 2)

Principal peaks in the range 10 to 80 degrees two-theta, by angle:
2.694 Å, I 90; 2.494 Å, I 100; 2.194 Å, I 30; 1.907 Å, I 26; 1.515 Å, I 16; 1.407 Å, I 20